Record 1
Diffraction record for Ta6MnC3S6. The XRD peak list is simulated, not measured: it uses a DFT-relaxed cell (PBE, the Materials Project) and Cu Ka.
Lines closer than 0.1° are merged.

```
data_Ta6MnC3S6
_space_group_name_H-M_alt 'C 1 2/m 1'
_space_group_IT_number 12
_cell_length_a 5.7306
_cell_length_b 9.9216
_cell_length_c 8.9214
_cell_angle_alpha 90.00
_cell_angle_beta 102.30
_cell_angle_gamma 90.00
loop_
_space_group_symop_operation_xyz
'x,y,z'
'-x,-y,-z'
'-x,y,-z'
'x,-y,z'
'x+1/2,y+1/2,z'
'-x+1/2,-y+1/2,-z'
'-x+1/2,y+1/2,-z'
'x+1/2,-y+1/2,z'
loop_
_atom_site_label
_atom_site_type_symbol
_atom_site_fract_x
_atom_site_fract_y
_atom_site_fract_z
Ta1 Ta 0.1223 0.1666 0.3676
Ta2 Ta 0.1229 0.5000 0.3682
Mn1 Mn 0.0000 0.5000 0.0000
C1 C 0.0000 0.0000 0.5000
C2 C 0.0000 0.3322 0.5000
S1 S 0.2212 0.0000 0.1773
S2 S 0.2275 0.3314 0.1777
```

Peak list (10 most intense, 2θ from 10° to 90°, low angle first)
(0 0 1), 2θ = 10.15°, rel. 100
(1 3 0), 2θ = 31.41°, rel. 35
(1 3 1), 2θ = 34.17°, rel. 33
(2 0 1), 2θ = 35.74°, rel. 37
(2 0 -3), 2θ = 39.65°, rel. 25
(0 0 4), 2θ = 41.44°, rel. 10
(1 3 -3), 2θ = 41.93°, rel. 41
(0 6 0), 2θ = 55.56°, rel. 22
(1 3 4), 2θ = 55.85°, rel. 13
(3 3 3), 2θ = 71.63°, rel. 12

Record 2
Diffraction record for Ce3Al4Si6. The XRD peak list is simulated, not measured: it uses a DFT-relaxed cell (PBE, the Materials Project) and Cu Ka.
Lines closer than 0.1° are merged.

```
data_Ce3Al4Si6
_space_group_name_H-M_alt 'P -3 m 1'
_space_group_IT_number 164
_space_group_name_Hall '-P 3 2"'
_cell_length_a 4.1625
_cell_length_b 4.1625
_cell_length_c 17.6716
_cell_angle_alpha 90.00
_cell_angle_beta 90.00
_cell_angle_gamma 120.00
loop_
_atom_site_label
_atom_site_type_symbol
_atom_site_fract_x
_atom_site_fract_y
_atom_site_fract_z
Ce1 Ce 0.0000 0.0000 0.0000
Ce2 Ce 0.0000 0.0000 0.3908
Al1 Al 0.3333 0.6667 0.1404
Al2 Al 0.3333 0.6667 0.7526
Si1 Si 0.3333 0.6667 0.2847
Si2 Si 0.3333 0.6667 0.5021
Si3 Si 0.3333 0.6667 0.8975
```

Peak list (10 most intense, 2θ from 10° to 90°, low angle first)
(0 0 2), 2θ = 10.01°, rel. 28
(0 0 3), 2θ = 15.04°, rel. 15
(1 0 0), 2θ = 24.70°, rel. 38
(1 0 2), 2θ = 26.71°, rel. 40
(1 0 3), 2θ = 29.04°, rel. 68
(1 0 5), 2θ = 35.57°, rel. 100
(1 1 0), 2θ = 43.48°, rel. 54
(0 2 5), 2θ = 57.39°, rel. 27
(1 1 8), 2θ = 61.18°, rel. 20
(1 0 13), 2θ = 74.65°, rel. 32